Diffraction record for Pr5Bi2Ir. The powder XRD pattern is theoretical, not measured: it uses the PBE geometry in Alexandria and Cu Kα (λ = 1.5418 Å).
Lines closer than 0.1° are merged.

Largest 8 diffraction maxima, in order of rising 2θ, 2θ = 10–80°:
2θ = 17.4°, I = 36, hkl 0 2 0; 2θ = 27.5°, I = 52, hkl 0 2 4; 2θ = 29.4°, I = 94, hkl 2 0 0; 2θ = 30.6°, I = 50, hkl 1 3 1; 2θ = 31.7°, I = 44, hkl 1 1 5; 2θ = 34.2°, I = 100, hkl 1 3 3; 2θ = 40.7°, I = 37, hkl 2 2 4; 2θ = 41.4°, I = 37, hkl 0 4 4

Structure:
a b c (Å): 6.078 10.195 16.782
angles (deg): 90.00 90.00 90.00
Space group Cmcm (No. 63)
One atom of each set of equivalent atoms:
Pr 0.000 0.075 0.107 x8
Pr 0.000 0.257 0.750 x4
Pr 0.000 0.409 0.126 x8
Bi 0.000 0.261 0.558 x8
Ir 0.000 0.219 0.250 x4

Diffraction record for La3ErHg. The powder XRD pattern is theoretical, not measured: it uses the PBE geometry in Alexandria and Cu Kα (λ = 1.5418 Å).
Lines closer than 0.1° are merged.

Largest 8 diffraction maxima, in order of rising 2θ, 2θ = 10–80°:
2θ = 27.5°, I = 39, hkl 1 1 1; 2θ = 30.9°, I = 91, hkl 4 0 2; 2θ = 31.5°, I = 87, hkl 8 0 -1; 2θ = 31.9°, I = 73, hkl 5 1 0; 2θ = 32.9°, I = 56, hkl 4 0 -3; 2θ = 33.1°, I = 100, hkl 3 1 -2; 2θ = 35.6°, I = 63, hkl 5 1 1; 2θ = 49.9°, I = 40, hkl 0 2 0

Structure:
a b c (Å): 22.783 3.657 8.385
angles (deg): 90.00 105.79 90.00
Space group C2/m (No. 12)
One atom of each set of equivalent atoms:
La 0.014 0.000 0.250 x4
La 0.122 0.500 0.037 x4
La 0.175 0.000 0.455 x4
Er 0.237 0.500 0.825 x4
Hg 0.085 0.500 0.616 x4